Structure and simulated powder XRD pattern of Cs2U2AgSe6 (a structure optimized by DFT (GGA-PBE); Cu Kα X-rays).

Atomic structure:
```
data_Cs2U2AgSe6
_symmetry_space_group_name_H-M 'C 1 2/m 1'
_symmetry_Int_Tables_number 12
_cell_length_a 7.134
_cell_length_b 12.620
_cell_length_c 8.844
_cell_angle_alpha 90.00
_cell_angle_beta 104.37
_cell_angle_gamma 90.00
loop_
_symmetry_equiv_pos_as_xyz
'x,y,z'
'-x,-y,-z'
'-x,y,-z'
'x,-y,z'
'x+1/2,y+1/2,z'
'-x+1/2,-y+1/2,-z'
'-x+1/2,y+1/2,-z'
'x+1/2,-y+1/2,z'
loop_
_atom_site_label
_atom_site_type_symbol
_atom_site_fract_x
_atom_site_fract_y
_atom_site_fract_z
Cs1 Cs 0.000 0.158 0.000
U1 U 0.000 0.335 0.500
Ag1 Ag 0.000 0.000 0.500
Se1 Se 0.206 0.500 0.681
Se2 Se 0.233 0.179 0.683
```

Largest 10 diffraction maxima, low angle first, 10 to 90 degrees two-theta:
hkl	2θ (°)	I/Imax
0 0 1	10.33	84
1 1 -1	15.97	21
0 0 2	20.74	18
1 3 1	28.14	100
2 0 -2	28.89	49
1 3 2	34.59	20
1 3 -3	37.62	35
0 6 0	42.97	30
3 3 -1	43.74	34
2 6 -2	52.64	17